Structure and theoretical X-ray powder pattern of Li2CoP2O7 (a structure optimized by DFT (PBE+U); λ = 1.5418 Å (Cu Kα)).
Intensities are scaled so that the largest is 100.

Crystal structure
```
data_Li2CoP2O7
_chemical_formula_sum 'Li4 Co2 P4 O14'
_symmetry_space_group_name_H-M 'P 1'
_symmetry_Int_Tables_number 1
_symmetry_space_group_name_Hall 'P 1'
_cell_length_a 5.0309
_cell_length_b 8.3779
_cell_length_c 7.1617
_cell_angle_alpha 90.00
_cell_angle_beta 109.63
_cell_angle_gamma 90.00
loop_
_atom_site_label
_atom_site_fract_x
_atom_site_fract_y
_atom_site_fract_z
_atom_site_occupancy
Li1 0.1453 0.0000 0.4149 1
Li2 0.3238 0.3282 0.8519 1
Li3 0.6762 0.8282 0.1481 1
Li4 0.8547 0.5000 0.5851 1
Co1 0.3009 0.6857 0.7791 1
Co2 0.6991 0.1857 0.2209 1
P1 0.1121 0.9953 0.9810 1
P2 0.2824 0.3871 0.4151 1
P3 0.7176 0.8871 0.5849 1
P4 0.8879 0.4953 0.0190 1
O1 0.0646 0.4913 0.8811 1
O2 0.1038 0.5117 0.2453 1
O3 0.1148 0.2322 0.3986 1
O4 0.2792 0.8411 0.9943 1
O5 0.2994 0.1438 0.0119 1
O6 0.3030 0.4741 0.6086 1
O7 0.4271 0.8628 0.6063 1
O8 0.5729 0.3628 0.3937 1
O9 0.6970 0.9741 0.3914 1
O10 0.7006 0.6438 0.9881 1
O11 0.7208 0.3411 0.0057 1
O12 0.8852 0.7322 0.6014 1
O13 0.8962 0.0117 0.7547 1
O14 0.9354 0.9913 0.1189 1
```

Largest 12 diffraction maxima, by intensity, 10° ≤ 2θ ≤ 90°:
| two_theta | I/Imax | h k l |
| --- | --- | --- |
| 16.9 | 100 | 0 1 1 |
| 28.6 | 50 | 1 2 -1 |
| 28.5 | 41 | 1 1 1 |
| 28.9 | 35 | 1 1 -2 |
| 21.7 | 33 | 1 1 -1 |
| 26.4 | 17 | 1 0 1 |
| 34.1 | 17 | 0 2 2 |
| 25.0 | 14 | 0 2 1 |
| 21.5 | 13 | 1 1 0 |
| 56.6 | 13 | 2 3 -3 |
| 52.2 | 13 | 0 3 3 |
| 42.3 | 11 | 1 3 -2 |